Simulated powder XRD pattern
Compound: Sr6Mg3In
Radiation: Cu Ka
Structure: the PBE geometry in Alexandria

The 10 most intense peaks (15 to 90 degrees two-theta), low angle first:
2θ (°)	d (Å)	I/Imax
20.32	4.370	21
28.05	3.181	34
29.57	3.021	61
29.78	3.001	100
29.96	2.982	83
41.22	2.190	24
44.24	2.047	15
52.60	1.740	20
52.71	1.736	17
54.11	1.695	16

Structure:
```
Sr6Mg3In
1.0
10.326 0.000 0.000
0.000 6.041 0.000
-4.523 0.000 12.613
Sr Mg In
12 6 2
Cartesian
-1.718 1.510 5.178
0.825 4.531 2.015
-1.773 1.510 12.587
-0.094 4.531 10.405
2.220 1.510 4.139
1.176 1.510 7.951
4.627 4.531 4.663
3.583 4.531 8.474
5.898 1.510 2.209
7.576 4.531 0.026
4.979 1.510 10.599
7.521 4.531 7.435
-3.530 4.531 11.005
-2.200 1.510 9.097
0.609 4.531 5.824
5.195 1.510 6.790
8.004 4.531 3.516
9.334 1.510 1.609
4.131 4.531 1.332
1.673 1.510 11.281
```


Simulated powder XRD pattern
Compound: Ba2CeSe6
Radiation: Cu Ka
Structure: the PBE geometry in Alexandria

The 10 most intense peaks (15 to 90 degrees two-theta), low angle first:
2θ (°)	d (Å)	I/Imax
21.43	4.146	54
21.55	4.124	60
31.17	2.869	100
37.23	2.415	54
37.48	2.400	24
37.78	2.381	55
43.99	2.058	18
45.33	2.001	17
59.32	1.558	19
60.26	1.536	14

Structure:
```
Ba2CeSe6
1.0
7.207 -4.117 0.000
7.207 4.117 0.000
-0.233 0.000 4.966
Ba Ce Se
2 1 6
Cartesian
2.413 0.000 0.934
11.768 0.000 4.032
7.090 0.000 2.483
5.067 1.903 1.593
7.207 1.861 0.000
9.113 1.903 3.373
5.067 -1.903 1.593
7.207 -1.861 0.000
9.113 -1.903 3.373
```